Computed powder diffractogram
Compound: Li2Sm3YS6
Radiation: λ = 1.5418 Å (Cu Kα)
Structure: a GGA-PBE-relaxed structure
No peak broadening, texture or thermal motion is included.

Structure:
a = 6.828 Å, b = 11.824 Å, c = 6.785 Å
α = 90.00°, β = 109.57°, γ = 90.00°
Space group C2/m (No. 12)
Asymmetric unit:
1 Li 0.000 0.167 0.000 [4 per cell]
2 Sm 0.000 0.000 0.500 [2 per cell]
3 Sm 0.000 0.332 0.500 [4 per cell]
4 Y 0.000 0.500 0.000 [2 per cell]
5 S 0.244 0.000 0.240 [4 per cell]
6 S 0.248 0.332 0.238 [8 per cell]

Main lines, sorted by position (2θ from 10° to 90°):
d_spacing  2θ (°)  I/Imax
6.393  13.85  47.8
3.361  26.52  36.2
3.216  27.74  32.3
2.781  32.19  100.0
2.550  35.19  19.3
1.971  46.05  35.7
1.962  46.28  34.9
1.608  57.30  18.4
1.246  76.45  15.7
1.241  76.78  15.1